This entry pairs a crystal structure of Li5Fe2P2C2O14 with its computed powder X-ray diffraction pattern. Radiation: copper Kα. Structure: a cell relaxed with GGA+U.
No peak broadening, texture or thermal motion is included.

Structural model:
```
data_Li5Fe2P2C2O14
_cell_length_a 5.0470
_cell_length_b 6.4964
_cell_length_c 8.4346
_cell_angle_alpha 90.00
_cell_angle_beta 94.78
_cell_angle_gamma 90.00
_space_group_name_H-M_alt 'P 1 m 1'
_space_group_IT_number 6
_space_group_name_Hall 'P -2y'
loop_
_atom_site_label
_atom_site_fract_x
_atom_site_fract_y
_atom_site_fract_z
Li1 0.0000 0.0000 0.0000
Li2 0.4894 0.2354 0.8310
Li3 0.9862 0.2670 0.3495
Fe1 0.0247 0.5000 0.7535
Fe2 0.4477 0.0000 0.4271
P1 0.4988 0.5000 0.5076
P2 0.9495 0.0000 0.6751
C1 0.5374 0.0000 0.1268
C2 0.9506 0.5000 0.0437
O1 0.0490 0.0000 0.5081
O2 0.0584 0.1877 0.7778
O3 0.1860 0.5000 0.9907
O4 0.2941 0.0000 0.1634
O5 0.3970 0.5000 0.6798
O6 0.3986 0.3098 0.4151
O7 0.5973 0.0000 0.9804
O8 0.6410 0.0000 0.6642
O9 0.7280 0.0000 0.2409
O10 0.7541 0.5000 0.9270
O11 0.8135 0.5000 0.5374
O12 0.9075 0.5000 0.1889
```

Main lines, low angle first (5° ≤ 2θ ≤ 70°):
- 2θ = 10.52°, rel. 1000
- 2θ = 17.25°, rel. 346
- 2θ = 19.80°, rel. 323
- 2θ = 21.33°, rel. 459
- 2θ = 22.36°, rel. 203
- 2θ = 25.40°, rel. 238
- 2θ = 26.48°, rel. 381
- 2θ = 27.46°, rel. 914
- 2θ = 31.96°, rel. 231
- 2θ = 36.43°, rel. 245

---

This entry pairs a crystal structure of Li7Mn5O12 with its computed powder X-ray diffraction pattern. Radiation: copper Kα. Structure: a cell relaxed with GGA+U.
No peak broadening, texture or thermal motion is included.

Structural model:
```
data_Li7Mn5O12
_cell_length_a 2.9709
_cell_length_b 7.6951
_cell_length_c 9.9627
_cell_angle_alpha 101.12
_cell_angle_beta 93.44
_cell_angle_gamma 98.04
_space_group_name_H-M_alt 'P -1'
_space_group_IT_number 2
_space_group_name_Hall '-P 1'
loop_
_atom_site_label
_atom_site_fract_x
_atom_site_fract_y
_atom_site_fract_z
Li1 0.0000 0.0000 0.0000
Li2 0.0679 0.1596 0.7573
Li3 0.2535 0.5004 0.2540
Li4 0.4375 0.8503 0.7590
Mn1 0.1648 0.3324 0.4978
Mn2 0.3282 0.6766 0.0038
Mn3 0.5000 0.0000 0.5000
O1 0.0835 0.0915 0.3796
O2 0.1728 0.2678 0.1083
O3 0.1921 0.4158 0.8951
O4 0.2480 0.5726 0.6192
O5 0.4179 0.7584 0.3850
O6 0.4373 0.8957 0.1173
```

Main lines, low angle first (5° ≤ 2θ ≤ 70°):
- 2θ = 9.08°, rel. 123
- 2θ = 18.22°, rel. 1000
- 2θ = 34.42°, rel. 171
- 2θ = 36.12°, rel. 122
- 2θ = 36.58°, rel. 112
- 2θ = 41.16°, rel. 349
- 2θ = 44.14°, rel. 280
- 2θ = 44.40°, rel. 280
- 2θ = 62.17°, rel. 86
- 2θ = 64.85°, rel. 95

---

This entry pairs a crystal structure of LiCoPO4 with its computed powder X-ray diffraction pattern. Radiation: copper Kα. Structure: a cell relaxed with GGA+U.
No peak broadening, texture or thermal motion is included.

Structural model:
```
data_LiCoPO4
_cell_length_a 8.6387
_cell_length_b 5.1213
_cell_length_c 15.4588
_cell_angle_alpha 90.00
_cell_angle_beta 93.71
_cell_angle_gamma 90.00
_space_group_name_H-M_alt 'P 1 21/c 1'
_space_group_IT_number 14
_space_group_name_Hall '-P 2ybc'
loop_
_atom_site_label
_atom_site_fract_x
_atom_site_fract_y
_atom_site_fract_z
Li1 0.1236 0.2306 0.2423
Li2 0.2968 0.2425 0.4983
Co1 0.0689 0.7033 0.4172
Co2 0.4100 0.7410 0.6525
P1 0.0657 0.7076 0.1085
P2 0.4049 0.7493 0.8675
O1 0.0154 0.0119 0.3316
O2 0.0456 0.2503 0.4743
O3 0.0796 0.5219 0.6536
O4 0.2246 0.6016 0.0863
O5 0.2872 0.6157 0.4252
O6 0.3498 0.7012 0.2715
O7 0.4133 0.0485 0.3890
O8 0.4328 0.1244 0.1107
```

Main lines, low angle first (5° ≤ 2θ ≤ 70°):
- 2θ = 14.91°, rel. 320
- 2θ = 15.91°, rel. 202
- 2θ = 20.17°, rel. 1000
- 2θ = 20.61°, rel. 632
- 2θ = 23.06°, rel. 954
- 2θ = 28.95°, rel. 276
- 2θ = 30.04°, rel. 304
- 2θ = 35.04°, rel. 272
- 2θ = 35.82°, rel. 492
- 2θ = 50.96°, rel. 185